Calculated powder X-ray diffraction pattern of EuTh3 for Cu Ka, from a PBE-relaxed structure.
Peak positions follow from Bragg's law for the DFT cell and can differ from measured ones.

The 8 most intense peaks (15 to 90 degrees two-theta), sorted by position:
two_theta, d [Å], I/Imax, (hkl)
30.33, 2.947, 100, 1 1 1
35.16, 2.552, 51, 2 0 0
50.57, 1.805, 37, 2 2 0
60.12, 1.539, 45, 3 1 1
63.09, 1.474, 13, 2 2 2
74.33, 1.276, 6, 4 0 0
82.34, 1.171, 19, 3 3 1
84.97, 1.141, 18, 4 2 0

Cell lengths 5.1048, 5.1048, 5.1048 Å; angles 90.00, 90.00, 90.00 degrees
Sites, in units of the cell vectors:
Eu (0.0000, 0.0000, 0.0000)
Th (0.0000, 0.5000, 0.5000)
Th (0.5000, 0.0000, 0.5000)
Th (0.5000, 0.5000, 0.0000)